(1)
AgSe2O6: theoretical powder XRD pattern (copper Kα), based on a DFT-relaxed cell (GGA-PBE, Alexandria).

Main lines, by angle (2θ = 10–80°):
2theta  I_rel
12.6  29
16.7  43
18.7  31
22.3  19
25.7  100
27.5  49
30.4  41
33.2  34
49.3  30
57.9  19

```
18
Lattice="5.695 -4.754 0.000 5.695 4.754 0.000 -2.681 0.000 5.881" Properties=species:S:1:pos:R:3 pbc="T T T"
Ag 3.685 3.782 4.411
Ag 5.025 -3.782 1.470
Se 1.280 0.787 4.376
Se 2.620 -0.787 1.436
Se 6.090 0.787 4.445
Se 7.430 -0.787 1.505
O -0.255 0.674 3.664
O 1.783 2.358 4.523
O 1.085 -0.674 0.724
O 3.730 0.164 0.487
O 2.390 -0.164 3.427
O 5.586 2.358 4.298
O 3.124 -2.358 1.583
O 6.320 0.164 2.454
O 4.979 -0.164 5.394
O 7.625 0.674 5.157
O 6.927 -2.358 1.357
O 8.965 -0.674 2.217
```

=====

(2)
Cs4TeI7: theoretical powder XRD pattern (copper Kα), based on a DFT-relaxed cell (GGA-PBE, Alexandria).

Main lines, by angle (2θ = 10–80°):
2theta  I_rel
17.7  29
19.5  29
22.2  65
23.9  32
25.0  100
28.6  54
29.0  80
35.8  42
36.8  35
46.7  39

```
12
Lattice="10.120 -3.082 0.000 10.120 3.082 0.000 -6.488 0.000 11.185" Properties=species:S:1:pos:R:3 pbc="T T T"
Cs -0.508 0.000 2.605
Cs -0.859 0.000 9.054
Cs 14.612 0.000 2.131
Cs 14.261 0.000 8.580
Te 6.876 0.000 5.592
I -3.244 0.000 5.592
I 2.709 0.000 0.615
I 1.825 0.000 5.774
I 7.167 0.000 2.623
I 6.585 0.000 8.562
I 11.928 0.000 5.410
I 11.044 0.000 10.570
```

=====

(3)
Ba2GaBiSe5: theoretical powder XRD pattern (copper Kα), based on a DFT-relaxed cell (GGA-PBE, Alexandria).

Main lines, by angle (2θ = 10–80°):
2theta  I_rel
22.7  25
26.9  20
27.8  100
29.3  37
30.3  31
33.9  16
38.9  43
40.4  35
41.2  21
57.3  15

```
36
Lattice="12.895 0.000 0.000 0.000 9.257 0.000 0.000 0.000 9.522" Properties=species:S:1:pos:R:3 pbc="T T T"
Ba 2.276 0.060 1.136
Ba 2.276 4.568 1.136
Ba 4.172 4.688 5.897
Ba 4.172 9.197 5.897
Ba 8.724 0.060 3.625
Ba 8.724 4.568 3.625
Ba 10.619 4.688 8.386
Ba 10.619 9.197 8.386
Ga 1.255 6.943 7.908
Ga 5.192 2.314 3.147
Ga 7.703 6.943 6.375
Ga 11.640 2.314 1.614
Bi 0.305 6.943 4.479
Bi 6.142 2.314 9.240
Bi 6.753 6.943 0.282
Bi 12.590 2.314 5.043
Se 0.096 2.314 9.186
Se 0.752 5.007 6.453
Se 0.752 8.879 6.453
Se 2.839 2.314 3.644
Se 2.840 6.943 3.557
Se 3.608 2.314 8.318
Se 3.608 6.943 8.406
Se 5.696 0.378 1.692
Se 5.696 4.250 1.692
Se 6.352 6.943 4.425
Se 6.543 2.314 5.097
Se 7.200 5.007 7.830
Se 7.200 8.879 7.830
Se 9.287 2.314 1.117
Se 9.288 6.943 1.204
Se 10.055 2.314 5.965
Se 10.056 6.943 5.878
Se 12.143 0.378 3.069
Se 12.143 4.250 3.069
Se 12.800 6.943 0.336
```

=====

(4)
Cs4TiS4: theoretical powder XRD pattern (copper Kα), based on a DFT-relaxed cell (GGA-PBE, Alexandria).

Main lines, by angle (2θ = 10–80°):
2theta  I_rel
22.0  84
23.8  83
25.7  80
26.1  100
31.7  89
37.3  43
41.6  51
43.7  27
57.0  23
60.8  25

```
18
Lattice="9.644 0.000 0.000 0.000 9.644 0.000 0.000 0.000 7.444" Properties=species:S:1:pos:R:3 pbc="T T T"
Cs 0.288 2.411 0.782
Cs 2.411 0.288 4.504
Cs 2.411 4.534 4.504
Cs 4.534 2.411 0.782
Cs 5.109 7.233 6.662
Cs 7.233 5.109 2.940
Cs 7.233 9.356 2.940
Cs 9.356 7.233 6.662
Ti 2.411 7.233 1.861
Ti 7.233 2.411 5.583
S 0.522 7.233 3.159
S 2.411 5.344 0.563
S 2.411 9.121 0.563
S 4.299 7.233 3.159
S 5.344 2.411 4.285
S 7.233 0.522 6.881
S 7.233 4.299 6.881
S 9.121 2.411 4.285
```

=====

(5)
Mg4Zn3In: theoretical powder XRD pattern (copper Kα), based on a DFT-relaxed cell (GGA-PBE, Alexandria).

Main lines, by angle (2θ = 10–80°):
2theta  I_rel
25.3  19
26.8  33
37.2  100
38.3  47
46.5  15
52.0  9
55.3  16
66.4  16
68.6  31
79.3  10

```
16
Lattice="9.399 0.000 0.000 0.000 7.038 0.000 0.000 0.000 4.697" Properties=species:S:1:pos:R:3 pbc="T T T"
Mg 0.000 1.641 0.000
Mg 0.000 5.396 0.000
Mg 2.350 1.642 2.333
Mg 2.350 5.395 2.333
Mg 4.700 1.641 0.000
Mg 4.700 5.396 0.000
Mg 7.050 1.642 2.364
Mg 7.050 5.395 2.364
Zn 0.000 0.000 2.349
Zn 2.350 0.000 4.682
Zn 2.350 3.519 4.686
Zn 4.700 0.000 2.349
Zn 7.050 0.000 0.016
Zn 7.050 3.519 0.011
In 0.000 3.519 2.349
In 4.700 3.519 2.349
```

=====

(6)
Zr7P2C2: theoretical powder XRD pattern (copper Kα), based on a DFT-relaxed cell (GGA-PBE, Alexandria).

Main lines, by angle (2θ = 10–80°):
2theta  I_rel
15.2  24
28.5  28
30.8  100
33.1  31
34.2  27
34.6  32
36.1  40
38.8  29
39.6  31
59.2  26

```
11
Lattice="3.559 -5.247 0.000 3.559 5.247 0.000 -1.220 0.000 6.266" Properties=species:S:1:pos:R:3 pbc="T T T"
Zr 0.000 0.000 0.000
Zr 0.992 2.157 4.864
Zr 2.711 0.000 1.345
Zr 0.992 -2.157 4.864
Zr 4.906 2.157 1.402
Zr 3.187 0.000 4.921
Zr 4.906 -2.157 1.402
P 2.949 1.966 3.133
P 2.949 -1.966 3.133
C 0.958 0.000 5.407
C 4.939 0.000 0.859
```

=====

(7)
K2RbBi3: theoretical powder XRD pattern (copper Kα), based on a DFT-relaxed cell (GGA-PBE, Alexandria).

Main lines, by angle (2θ = 10–80°):
2theta  I_rel
14.3  19
16.4  64
28.5  100
28.9  11
29.1  27
29.8  28
39.4  23
42.2  13
42.9  13
52.1  19

```
12
Lattice="3.772 -6.186 0.000 3.772 6.186 0.000 -0.805 0.000 10.898" Properties=species:S:1:pos:R:3 pbc="T T T"
K 1.150 1.495 0.912
K 0.747 -1.495 6.362
K 5.992 1.495 4.537
K 5.589 -1.495 9.986
Rb 3.168 1.285 8.174
Rb 3.571 -1.285 2.725
Bi 3.571 4.180 2.725
Bi 2.172 2.074 4.514
Bi 1.770 -2.074 9.963
Bi 4.969 2.074 0.935
Bi 4.567 -2.074 6.384
Bi 3.168 -4.180 8.174
```